[1]
Structure and theoretical XRD peak list of MgV2ZnO6 (a cell relaxed with GGA+U; copper Kα).
No peak broadening, texture or thermal motion is included.

Top 10 peaks for 10 to 90 degrees two-theta, by intensity:
d [Å]	two_theta	Rel. int.
3.672	24.24	100.0
4.893	18.13	95.5
2.661	33.68	54.5
2.685	33.37	51.2
1.981	45.80	47.9
2.518	35.65	33.9
2.404	37.40	32.8
1.951	46.56	25.0
1.933	47.02	23.6
1.543	59.94	21.8

Structural model:
a b c (Å): 5.279 5.279 6.383
angles (deg): 90.51 90.51 44.08
Atoms (fractional coordinates):
Mg (0.000, 0.000, 0.000)
V (0.328, 0.328, 0.742)
V (0.995, 0.995, 0.477)
Zn (0.315, 0.315, 0.240)
O (0.120, 0.120, 0.276)
O (0.148, 0.148, 0.745)
O (0.436, 0.436, 0.984)
O (0.453, 0.453, 0.510)
O (0.856, 0.856, 0.270)
O (0.870, 0.870, 0.726)

---

[2]
Structure and theoretical XRD peak list of MgV2ZnO6 (a cell relaxed with GGA+U; copper Kα).
No peak broadening, texture or thermal motion is included.

Top 10 peaks for 10 to 90 degrees two-theta, by intensity:
d [Å]	two_theta	Rel. int.
5.162	17.18	100.0
3.592	24.78	60.4
2.519	35.64	37.7
3.232	27.60	31.2
1.916	47.46	29.1
2.691	33.29	28.1
2.172	41.58	25.1
3.009	29.69	23.1
2.560	35.05	21.3
6.790	13.04	18.1

Structural model:
a b c (Å): 5.542 5.542 6.840
angles (deg): 96.52 96.52 40.45
Atoms (fractional coordinates):
Mg (0.000, 0.000, 0.000)
V (0.069, 0.069, 0.434)
V (0.658, 0.658, 0.772)
Zn (0.731, 0.731, 0.206)
O (0.102, 0.102, 0.725)
O (0.185, 0.185, 0.245)
O (0.558, 0.558, 0.983)
O (0.613, 0.613, 0.485)
O (0.816, 0.816, 0.872)
O (0.923, 0.923, 0.284)

---

[3]
Structure and theoretical XRD peak list of MgV2ZnO6 (a cell relaxed with GGA+U; copper Kα).
No peak broadening, texture or thermal motion is included.

Top 10 peaks for 10 to 90 degrees two-theta, by intensity:
d [Å]	two_theta	Rel. int.
1.991	45.56	100.0
2.894	30.90	74.9
3.015	29.63	71.9
3.628	24.53	71.5
2.475	36.30	65.7
4.448	19.96	59.6
3.062	29.16	53.7
2.106	42.95	40.5
2.495	36.00	34.1
1.871	48.67	33.9

Structural model:
a b c (Å): 5.170 5.170 6.411
angles (deg): 110.91 110.91 45.31
Atoms (fractional coordinates):
Mg (0.000, 0.000, 0.000)
V (0.294, 0.294, 0.626)
V (0.673, 0.673, 0.880)
Zn (0.532, 0.532, 0.323)
O (0.129, 0.129, 0.351)
O (0.162, 0.162, 0.826)
O (0.459, 0.459, 0.565)
O (0.500, 0.500, 0.986)
O (0.787, 0.787, 0.679)
O (0.827, 0.827, 0.128)

---

[4]
Structure and theoretical XRD peak list of MgWO2 (a cell relaxed with GGA+U; copper Kα).
No peak broadening, texture or thermal motion is included.

Top 10 peaks for 10 to 90 degrees two-theta, by intensity:
d [Å]	two_theta	Rel. int.
2.709	33.07	100.0
5.326	16.65	51.1
2.654	33.78	41.8
2.668	33.59	41.3
2.719	32.94	35.8
6.171	14.35	35.2
2.011	45.09	33.7
3.086	28.94	28.9
2.646	33.88	26.4
3.856	23.07	23.6

Structural model:
a b c (Å): 8.247 8.247 10.652
angles (deg): 129.44 129.44 22.04
Atoms (fractional coordinates):
Mg (0.010, 0.010, 0.151)
Mg (0.333, 0.333, 0.846)
Mg (0.667, 0.667, 0.154)
Mg (0.990, 0.990, 0.849)
W (0.159, 0.159, 0.495)
W (0.352, 0.352, 0.177)
W (0.648, 0.648, 0.823)
W (0.841, 0.841, 0.505)
O (0.165, 0.165, 0.992)
O (0.166, 0.166, 0.706)
O (0.189, 0.189, 0.314)
O (0.475, 0.475, 0.697)
O (0.525, 0.525, 0.303)
O (0.811, 0.811, 0.686)
O (0.834, 0.834, 0.294)
O (0.835, 0.835, 0.008)

---

[5]
Structure and theoretical XRD peak list of MgW4O12 (a cell relaxed with GGA+U; copper Kα).
No peak broadening, texture or thermal motion is included.

Top 10 peaks for 10 to 90 degrees two-theta, by intensity:
d [Å]	two_theta	Rel. int.
3.891	22.85	100.0
2.752	32.54	64.4
1.742	52.54	27.5
1.590	58.02	17.5
1.948	46.62	14.7
1.737	52.69	13.7
2.247	40.14	13.6
1.297	72.97	10.2
1.375	68.21	8.8
1.587	58.14	8.7

Structural model:
a b c (Å): 7.793 7.793 3.882
angles (deg): 90.00 90.00 90.00
Atoms (fractional coordinates):
Mg (0.000, 0.000, 0.000)
W (0.252, 0.255, 0.500)
W (0.255, 0.748, 0.500)
W (0.745, 0.252, 0.500)
W (0.748, 0.745, 0.500)
O (0.002, 0.766, 0.500)
O (0.234, 0.002, 0.500)
O (0.238, 0.243, 0.000)
O (0.243, 0.762, 0.000)
O (0.250, 0.502, 0.500)
O (0.498, 0.250, 0.500)
O (0.502, 0.750, 0.500)
O (0.750, 0.498, 0.500)
O (0.757, 0.238, 0.000)
O (0.762, 0.757, 0.000)
O (0.766, 0.998, 0.500)
O (0.998, 0.234, 0.500)

---

[6]
Structure and theoretical XRD peak list of MgW4O12 (a cell relaxed with GGA+U; copper Kα).
No peak broadening, texture or thermal motion is included.

Top 10 peaks for 10 to 90 degrees two-theta, by intensity:
d [Å]	two_theta	Rel. int.
3.797	23.43	100.0
2.696	33.24	23.3
2.677	33.47	22.8
1.897	47.97	12.7
2.747	32.59	12.5
1.693	54.17	10.2
2.621	34.21	9.9
1.729	52.95	8.0
1.699	53.98	7.4
1.705	53.75	7.1

Structural model:
a b c (Å): 5.242 5.495 7.610
angles (deg): 89.42 89.82 89.96
Atoms (fractional coordinates):
Mg (0.000, 0.000, 0.000)
W (0.486, 0.057, 0.267)
W (0.489, 0.074, 0.759)
W (0.979, 0.549, 0.264)
W (0.984, 0.563, 0.759)
O (0.078, 0.546, 0.500)
O (0.174, 0.267, 0.197)
O (0.175, 0.251, 0.825)
O (0.253, 0.800, 0.207)
O (0.257, 0.784, 0.812)
O (0.393, 0.067, 0.503)
O (0.609, 0.082, 0.020)
O (0.683, 0.362, 0.301)
O (0.686, 0.379, 0.721)
O (0.765, 0.852, 0.309)
O (0.773, 0.873, 0.722)
O (0.896, 0.615, 0.020)

---

[7]
Structure and theoretical XRD peak list of Mg3WO6 (a cell relaxed with GGA+U; copper Kα).
No peak broadening, texture or thermal motion is included.

Top 10 peaks for 10 to 90 degrees two-theta, by intensity:
d [Å]	two_theta	Rel. int.
4.399	20.19	100.0
4.292	20.70	81.9
2.680	33.44	80.8
3.721	23.92	68.1
2.672	33.54	52.4
3.851	23.10	35.9
2.230	40.45	31.8
2.274	39.64	30.6
1.547	59.80	29.6
1.860	48.96	26.3

Structural model:
a b c (Å): 5.170 5.360 9.258
angles (deg): 90.00 123.71 90.00
Atoms (fractional coordinates):
Mg (0.000, 0.000, 0.000)
Mg (0.000, 0.500, 0.500)
Mg (0.228, 0.051, 0.738)
Mg (0.228, 0.449, 0.238)
Mg (0.772, 0.551, 0.762)
Mg (0.772, 0.949, 0.262)
W (0.500, 0.000, 0.500)
W (0.500, 0.500, 0.000)
O (0.130, 0.178, 0.443)
O (0.130, 0.322, 0.943)
O (0.247, 0.698, 0.416)
O (0.247, 0.802, 0.916)
O (0.396, 0.075, 0.264)
O (0.396, 0.425, 0.764)
O (0.604, 0.575, 0.236)
O (0.604, 0.925, 0.736)
O (0.753, 0.198, 0.084)
O (0.753, 0.302, 0.584)
O (0.870, 0.678, 0.057)
O (0.870, 0.822, 0.557)

---

[8]
Structure and theoretical XRD peak list of MgWO2 (a cell relaxed with GGA+U; copper Kα).
No peak broadening, texture or thermal motion is included.

Top 10 peaks for 10 to 90 degrees two-theta, by intensity:
d [Å]	two_theta	Rel. int.
6.481	13.66	100.0
2.530	35.48	59.0
2.589	34.65	40.3
4.045	21.97	34.6
5.619	15.77	32.4
2.818	31.75	30.0
3.590	24.80	26.0
2.031	44.62	22.4
2.047	44.25	19.4
2.685	33.37	15.4

Structural model:
a b c (Å): 2.874 8.615 8.621
angles (deg): 81.91 82.14 89.94
Atoms (fractional coordinates):
Mg (0.181, 0.237, 0.131)
Mg (0.309, 0.414, 0.806)
Mg (0.691, 0.586, 0.194)
Mg (0.819, 0.763, 0.869)
W (0.186, 0.914, 0.139)
W (0.447, 0.656, 0.529)
W (0.553, 0.344, 0.471)
W (0.814, 0.086, 0.861)
O (0.027, 0.728, 0.343)
O (0.136, 0.404, 0.271)
O (0.251, 0.690, 0.038)
O (0.355, 0.930, 0.770)
O (0.645, 0.070, 0.230)
O (0.749, 0.310, 0.962)
O (0.864, 0.596, 0.729)
O (0.973, 0.272, 0.657)

---

[9]
Structure and theoretical XRD peak list of MgW4O12 (a cell relaxed with GGA+U; copper Kα).
No peak broadening, texture or thermal motion is included.

Top 10 peaks for 10 to 90 degrees two-theta, by intensity:
d [Å]	two_theta	Rel. int.
3.847	23.12	100.0
2.720	32.93	66.1
1.720	53.24	41.5
1.571	58.79	28.9
1.924	47.25	21.1
1.282	73.91	18.8
2.221	40.62	15.3
1.360	69.05	12.2
1.217	78.65	11.9
1.160	83.31	8.2

Structural model:
a b c (Å): 6.663 6.663 6.663
angles (deg): 109.47 109.47 109.47
Atoms (fractional coordinates):
Mg (0.000, 0.000, 0.000)
W (0.000, 0.000, 0.500)
W (0.000, 0.500, 0.000)
W (0.500, 0.000, 0.000)
W (0.500, 0.500, 0.500)
O (0.058, 0.270, 0.787)
O (0.213, 0.483, 0.270)
O (0.213, 0.942, 0.730)
O (0.270, 0.213, 0.483)
O (0.270, 0.787, 0.058)
O (0.483, 0.270, 0.213)
O (0.517, 0.730, 0.787)
O (0.730, 0.213, 0.942)
O (0.730, 0.787, 0.517)
O (0.787, 0.058, 0.270)
O (0.787, 0.517, 0.730)
O (0.942, 0.730, 0.213)